(1)
This entry pairs a crystal structure of Ca4Bi2Br4O3 with its calculated XRD peak list. Radiation: Cu Ka. Structure: a cell relaxed with GGA-PBE.

Largest 10 diffraction maxima, in order of rising 2θ, 2θ from 10° to 90°:
Position (°2θ)  Rel. int.  hkl
21.87  100  1 0 0
22.03  14  1 0 1
27.09  12  0 0 10
30.92  18  1 0 8
31.12  41  1 1 0
35.08  25  1 0 10
38.21  13  1 1 8
41.72  16  1 1 10
44.56  21  2 0 0
50.20  24  2 1 0

Cell and atoms:
Cell lengths 4.065, 4.065, 32.915 Å; angles 90.00, 90.00, 90.00 degrees
Space group P4/mmm (No. 123)
Asymmetric unit:
Ca1 0.000 0.000 0.136
Ca2 0.000 0.000 0.258
Bi1 0.000 0.000 0.436
Br1 0.000 0.000 0.057
Br2 0.000 0.000 0.341
O1 0.000 0.000 0.198
O2 0.000 0.000 0.500

***

(2)
This entry pairs a crystal structure of YHoHg2 with its calculated XRD peak list. Radiation: Cu Ka. Structure: a cell relaxed with GGA-PBE.

Largest 10 diffraction maxima, in order of rising 2θ, 2θ from 10° to 90°:
Position (°2θ)  Rel. int.  hkl
20.66  3  1 1 1
23.90  6  2 0 0
34.05  100  2 2 0
40.16  2  3 1 1
42.03  2  2 2 2
48.93  18  4 0 0
55.16  3  4 2 0
60.95  38  4 2 2
71.70  12  4 4 0
81.81  17  6 2 0

Cell and atoms:
Cell lengths 7.446, 7.446, 7.446 Å; angles 90.00, 90.00, 90.00 degrees
Space group Fm-3m (No. 225)
Asymmetric unit:
Y1 0.000 0.000 0.000
Ho1 0.000 0.000 0.500
Hg1 0.250 0.250 0.250

***

> Which formula does entry 2 have?

YHoHg2

***

> Number 1 is which compound?

Ca4Bi2Br4O3

***

Repeat the first record exactly.
This entry pairs a crystal structure of Ca4Bi2Br4O3 with its calculated XRD peak list. Radiation: Cu Ka. Structure: a cell relaxed with GGA-PBE.

Largest 10 diffraction maxima, in order of rising 2θ, 2θ from 10° to 90°:
Position (°2θ)  Rel. int.  hkl
21.87  100  1 0 0
22.03  14  1 0 1
27.09  12  0 0 10
30.92  18  1 0 8
31.12  41  1 1 0
35.08  25  1 0 10
38.21  13  1 1 8
41.72  16  1 1 10
44.56  21  2 0 0
50.20  24  2 1 0

Cell and atoms:
Cell lengths 4.065, 4.065, 32.915 Å; angles 90.00, 90.00, 90.00 degrees
Space group P4/mmm (No. 123)
Asymmetric unit:
Ca1 0.000 0.000 0.136
Ca2 0.000 0.000 0.258
Bi1 0.000 0.000 0.436
Br1 0.000 0.000 0.057
Br2 0.000 0.000 0.341
O1 0.000 0.000 0.198
O2 0.000 0.000 0.500